TiTlInCl6: theoretical XRD peak list (Cu Kα), based on the GGA-PBE geometry in Alexandria.
Neutral-atom scattering factors, no anomalous dispersion.

```
TiTlInCl6
1.0
7.392 0.000 0.000
-3.696 6.402 0.000
0.000 0.000 6.248
Ti Tl In Cl
1 1 1 6
Cartesian
0.000 0.000 0.000 Ti
0.000 4.268 0.000 Tl
3.696 2.134 3.124 In
1.930 0.043 4.871 Cl
1.002 1.650 1.377 Cl
5.462 0.043 1.377 Cl
2.768 4.709 4.871 Cl
6.390 1.650 4.871 Cl
4.624 4.709 1.377 Cl
```

Peak list (10 most intense, 2θ from 15° to 90°, in order of rising 2θ)
2θ (°)	d_spacing	Rel. int.
19.86	4.471	100
24.08	3.696	33
28.05	3.181	21
31.40	2.849	33
31.88	2.808	14
37.70	2.386	51
39.96	2.256	40
42.36	2.134	20
53.67	1.708	14
57.98	1.591	13